(1)
Diffraction record for Rb4TbNp3O12. The X-ray diffraction stick pattern is theoretical, not measured: it uses DFT lattice parameters and positions (GGA-PBE) and Cu Ka.

Peak list (10 most intense, 5° ≤ 2θ ≤ 70°, in order of falling intensity)
- 2θ 29.1, I 100.0
- 2θ 51.6, I 42.0
- 2θ 20.5, I 29.9
- 2θ 41.7, I 28.7
- 2θ 68.4, I 18.8
- 2θ 60.4, I 18.5
- 2θ 46.8, I 14.1
- 2θ 64.5, I 6.8
- 2θ 35.9, I 2.9
- 2θ 14.4, I 2.5

Atomic structure:
```
20
Lattice="-4.3364 4.3364 4.3364 4.3364 -4.3364 4.3364 4.3364 4.3364 -4.3364" Properties=species:S:1:pos:R:3 pbc="T T T"
Rb 2.1682 2.1682 -2.1682
Rb 2.1682 -2.1682 2.1682
Rb -2.1682 2.1682 2.1682
Rb 2.1682 2.1682 2.1682
Tb 0.0000 0.0000 0.0000
Np 4.3364 0.0000 0.0000
Np 0.0000 4.3364 0.0000
Np 0.0000 0.0000 4.3364
O 2.3171 0.0000 0.0000
O 6.3557 0.0000 0.0000
O 4.3364 2.1682 0.0000
O 4.3364 0.0000 2.1682
O 0.0000 2.3171 0.0000
O 0.0000 0.0000 2.3171
O 2.1682 4.3364 0.0000
O 2.1682 0.0000 4.3364
O 0.0000 6.3557 0.0000
O 0.0000 0.0000 6.3557
O 0.0000 4.3364 2.1682
O 0.0000 2.1682 4.3364
```

(2)
Diffraction record for SrSn4. The X-ray diffraction stick pattern is theoretical, not measured: it uses DFT lattice parameters and positions (GGA-PBE) and Cu Ka.

Peak list (10 most intense, 5° ≤ 2θ ≤ 70°, in order of falling intensity)
- 2θ 31.8, I 100.0
- 2θ 31.9, I 81.4
- 2θ 37.9, I 32.9
- 2θ 32.6, I 32.8
- 2θ 64.7, I 24.8
- 2θ 40.2, I 23.3
- 2θ 50.8, I 19.1
- 2θ 62.0, I 18.8
- 2θ 56.4, I 17.7
- 2θ 66.5, I 11.1

Atomic structure:
```
10
Lattice="2.3760 -8.7180 0.0000 2.3760 8.7180 0.0000 0.0000 0.0000 7.0781" Properties=species:S:1:pos:R:3 pbc="T T T"
Sr 2.3760 6.7697 5.3086
Sr 2.3760 -6.7697 1.7695
Sn 2.3760 7.1321 1.7695
Sn 2.3760 3.4272 3.8365
Sn 2.3760 3.4272 6.7806
Sn 2.3760 0.0000 0.0000
Sn 2.3760 0.0000 3.5390
Sn 2.3760 -3.4272 0.2975
Sn 2.3760 -3.4272 3.2416
Sn 2.3760 -7.1321 5.3086
```

(3)
Diffraction record for ThTeSO7. The X-ray diffraction stick pattern is theoretical, not measured: it uses DFT lattice parameters and positions (GGA-PBE) and Cu Ka.

Peak list (10 most intense, 5° ≤ 2θ ≤ 70°, in order of falling intensity)
- 2θ 27.3, I 100.0
- 2θ 12.0, I 80.3
- 2θ 25.4, I 73.4
- 2θ 24.6, I 65.8
- 2θ 30.6, I 46.3
- 2θ 36.9, I 32.4
- 2θ 17.8, I 30.3
- 2θ 45.9, I 28.8
- 2θ 32.1, I 27.6
- 2θ 49.3, I 23.1

Atomic structure:
```
40
Lattice="7.8578 0.0000 0.0000 0.0000 14.0387 0.0000 -1.9949 0.0000 5.3380" Properties=species:S:1:pos:R:3 pbc="T T T"
Th -0.1537 1.8708 2.2537
Th -1.1512 5.1485 4.9227
Th 7.0141 8.8902 0.4152
Th 6.0167 12.1678 3.0842
Te 0.2815 8.7805 4.1645
Te 1.2789 12.2775 1.4955
Te 4.5841 1.7612 3.8425
Te 5.5815 5.2581 1.1735
S 2.7183 1.9465 0.6108
S 1.7208 5.0728 3.2798
S 4.1421 8.9658 2.0582
S 3.1447 12.0921 4.7271
O -1.1027 10.0937 4.4339
O -0.1053 10.9643 1.7650
O -0.2117 8.2525 2.4344
O -1.2091 12.8055 5.1033
O -0.8845 7.5874 5.1062
O 0.1129 13.4706 2.4372
O 1.6808 3.0653 0.7300
O 0.6833 3.9540 3.3989
O 0.7135 1.4047 4.5711
O 1.7110 5.6147 1.9022
O 2.1753 0.9348 1.5887
O 1.1779 6.0846 4.2577
O 2.8208 9.4444 1.6636
O 1.8234 11.6136 4.3326
O 4.0396 2.4251 1.0054
O 3.0422 4.5943 3.6744
O 4.6851 7.9541 1.0803
O 3.6876 13.1039 3.7492
O 4.1520 8.4240 3.4358
O 5.1494 12.6340 0.7668
O 5.1796 10.0846 1.9390
O 4.1822 10.9733 4.6080
O 5.7500 0.5680 2.9007
O 6.7475 6.4513 0.2318
O 7.0721 1.2332 0.2346
O 6.0747 5.7862 2.9036
O 5.9682 3.0744 3.5730
O 6.9657 3.9449 0.9040
```